This entry pairs a crystal structure of SmPaSb3 with its calculated powder diffractogram. Radiation: Cu Kα, 1.54184 Å. Structure: a cell relaxed with GGA-PBE.
Kinematic intensities with the Lorentz-polarization factor, no thermal factor.

The 12 most intense peaks (2θ = 15–90°), most intense first:
31.81°, I 100, hkl 2 2 0; 31.28°, I 95, hkl 5 0 0; 36.95°, I 90, hkl 3 1 2; 30.69°, I 80, hkl 2 0 2; 34.09°, I 74, hkl 2 1 2; 40.87°, I 67, hkl 0 2 2; 34.84°, I 51, hkl 3 2 0; 32.25°, I 51, hkl 1 1 2; 33.81°, I 38, hkl 3 0 2; 52.35°, I 38, hkl 5 2 2; 37.47°, I 34, hkl 5 1 1; 40.67°, I 32, hkl 4 1 2

Structural model:
```
data_SmPaSb3
_chemical_formula_sum 'Sm4 Pa4 Sb12'
_cell_length_a 14.299
_cell_length_b 6.120
_cell_length_c 6.380
_cell_angle_alpha 90.00
_cell_angle_beta 90.00
_cell_angle_gamma 90.00
_symmetry_space_group_name_H-M 'P b c m'
_symmetry_Int_Tables_number 57
_symmetry_space_group_name_Hall '-P 2c 2b'
loop_
_atom_site_label
_atom_site_type_symbol
_atom_site_fract_x
_atom_site_fract_y
_atom_site_fract_z
Sm1 Sm 0.171 0.022 0.250
Pa1 Pa 0.409 0.750 0.000
Sb1 Sb 0.004 0.750 0.000
Sb2 Sb 0.238 0.526 0.250
Sb3 Sb 0.402 0.201 0.250
```